For VS3O9, a crystal structure in Alexandria, relaxed with PBE+U gives the simulated X-ray diffraction stick pattern in this record (CuKα).

Structural model:
```
VS3O9
1.0
6.705 0.000 0.000
3.324 6.860 0.000
3.338 1.336 8.382
V S O
2 6 18
direct
0.000 0.000 0.000
0.419 0.502 0.499
0.218 0.529 0.202
0.470 0.029 0.701
0.488 0.899 0.197
0.839 0.396 0.696
0.920 0.770 0.763
0.963 0.271 0.264
0.017 0.206 0.113
0.025 0.815 0.855
0.084 0.708 0.612
0.121 0.145 0.360
0.137 0.744 0.159
0.235 0.471 0.366
0.347 0.970 0.865
0.381 0.245 0.659
0.405 0.416 0.085
0.498 0.742 0.336
0.510 0.918 0.584
0.632 0.470 0.643
0.679 0.969 0.144
0.719 0.318 0.351
0.732 0.990 0.714
0.791 0.643 0.854
0.844 0.241 0.836
0.982 0.490 0.214
```

The 6 most intense peaks (15° ≤ 2θ ≤ 90°), in order of rising 2θ:
d/Å  Position (°2θ)  I/Imax  index
4.905  18.1  31.4  0 1 -1
4.242  20.9  100.0  1 1 2
4.191  21.2  26.3  0 0 2
3.558  25.0  58.1  1 -1 1
3.318  26.9  31.6  1 2 2
2.939  30.4  34.0  1 2 -1